For La7TbPm2, the PBE geometry in Alexandria gives the calculated powder diffractogram in this record (Cu Kα).

Cell and atoms:
```
10
Lattice="6.098 -8.593 0.000 6.098 8.593 0.000 0.000 0.000 3.573" Properties=species:S:1:pos:R:3 pbc="T T T"
La 0.000 0.000 0.000
La 2.995 2.210 0.000
La 6.098 5.489 1.786
La 2.995 -2.210 0.000
La 9.201 2.210 0.000
La 6.098 -5.489 1.786
La 9.201 -2.210 0.000
Tb 6.098 0.000 1.786
Pm 6.098 2.876 0.000
Pm 6.098 -2.876 0.000
```

Principal peaks in the range 10° ≤ 2θ ≤ 90°, in order of rising 2θ:
2θ/deg	Rel. int.
25.4	47
29.3	77
30.4	100
31.2	27
34.6	28
37.0	66